Simulated powder diffractogram
Compound: K2ZrGe2O7
Radiation: Cu Kα (weighted mean of Kα1 and Kα2)
Structure: a structure optimized by DFT (GGA-PBE)
Intensities are scaled so that the largest is 100.

Top 8 peaks for 10° ≤ 2θ ≤ 90°, in order of rising 2θ:
2θ/deg, d_spacing, Rel. int.
19.9, 4.471, 23
20.3, 4.384, 54
29.3, 3.052, 53
29.5, 3.025, 96
30.9, 2.896, 100
31.7, 2.824, 36
43.7, 2.073, 25
53.8, 1.705, 21

Atomic structure:
```
data_K2ZrGe2O7
_chemical_formula_sum 'K4 Zr2 Ge4 O14'
_symmetry_space_group_name_H-M 'P 1'
_symmetry_Int_Tables_number 1
_symmetry_space_group_name_Hall 'P 1'
_cell_length_a 5.7936
_cell_length_b 5.7936
_cell_length_c 13.1989
_cell_angle_alpha 102.85
_cell_angle_beta 102.85
_cell_angle_gamma 58.34
loop_
_atom_site_label
_atom_site_type_symbol
_atom_site_fract_x
_atom_site_fract_y
_atom_site_fract_z
K1 K 0.0651 0.6406 0.8222
K2 K 0.3594 0.9349 0.6778
K3 K 0.6406 0.0651 0.3222
K4 K 0.9349 0.3594 0.1778
Zr1 Zr 0.0000 0.5000 0.5000
Zr2 Zr 0.5000 0.0000 0.0000
Ge1 Ge 0.2420 0.6834 0.1222
Ge2 Ge 0.3166 0.7580 0.3778
Ge3 Ge 0.6834 0.2420 0.6222
Ge4 Ge 0.7580 0.3166 0.8778
O1 O 0.0759 0.1879 0.9558
O2 O 0.1396 0.8604 0.2500
O3 O 0.1879 0.0759 0.4558
O4 O 0.2133 0.5368 0.3990
O5 O 0.3281 0.4231 0.6271
O6 O 0.4231 0.3281 0.1271
O7 O 0.4632 0.7867 0.1010
O8 O 0.5368 0.2133 0.8990
O9 O 0.5769 0.6719 0.8729
O10 O 0.6719 0.5769 0.3729
O11 O 0.7867 0.4632 0.6010
O12 O 0.8121 0.9241 0.5442
O13 O 0.8604 0.1396 0.7500
O14 O 0.9241 0.8121 0.0442
```

---

Simulated powder diffractogram
Compound: KPrGeSe4
Radiation: Cu Kα (weighted mean of Kα1 and Kα2)
Structure: a structure optimized by DFT (GGA-PBE)
Intensities are scaled so that the largest is 100.

Top 8 peaks for 10° ≤ 2θ ≤ 90°, in order of rising 2θ:
2θ/deg, d_spacing, Rel. int.
10.1, 8.765, 100
16.0, 5.543, 33
28.3, 3.149, 64
30.3, 2.949, 46
31.0, 2.881, 37
32.5, 2.752, 26
36.9, 2.436, 30
39.2, 2.299, 28

Atomic structure:
```
data_KPrGeSe4
_chemical_formula_sum 'K2 Pr2 Ge2 Se8'
_symmetry_space_group_name_H-M 'P 1'
_symmetry_Int_Tables_number 1
_symmetry_space_group_name_Hall 'P 1'
_cell_length_a 6.9777
_cell_length_b 7.1546
_cell_length_c 9.1958
_cell_angle_alpha 90.00
_cell_angle_beta 107.61
_cell_angle_gamma 90.00
loop_
_atom_site_label
_atom_site_type_symbol
_atom_site_fract_x
_atom_site_fract_y
_atom_site_fract_z
K1 K 0.2441 0.0000 0.4370
K2 K 0.7559 0.5000 0.5630
Pr1 Pr 0.2711 0.0054 0.9477
Pr2 Pr 0.7289 0.5054 0.0523
Ge1 Ge 0.2779 0.4725 0.1771
Ge2 Ge 0.7221 0.9725 0.8229
Se1 Se 0.0731 0.4070 0.9235
Se2 Se 0.0775 0.4682 0.3420
Se3 Se 0.4701 0.7338 0.7717
Se4 Se 0.4830 0.7466 0.2113
Se5 Se 0.5170 0.2466 0.7887
Se6 Se 0.5299 0.2338 0.2283
Se7 Se 0.9225 0.9682 0.6580
Se8 Se 0.9269 0.9070 0.0765
```

---

Simulated powder diffractogram
Compound: K3GeS3
Radiation: Cu Kα (weighted mean of Kα1 and Kα2)
Structure: a structure optimized by DFT (GGA-PBE)
Intensities are scaled so that the largest is 100.

Top 8 peaks for 10° ≤ 2θ ≤ 90°, in order of rising 2θ:
2θ/deg, d_spacing, Rel. int.
13.3, 6.666, 46
14.1, 6.294, 100
27.9, 3.202, 34
28.4, 3.147, 46
30.3, 2.953, 70
30.9, 2.896, 31
31.5, 2.840, 47
31.7, 2.823, 46

Atomic structure:
```
data_K3GeS3
_chemical_formula_sum 'K6 Ge2 S6'
_symmetry_space_group_name_H-M 'P 1'
_symmetry_Int_Tables_number 1
_symmetry_space_group_name_Hall 'P 1'
_cell_length_a 7.6741
_cell_length_b 7.6741
_cell_length_c 8.3249
_cell_angle_alpha 104.91
_cell_angle_beta 104.91
_cell_angle_gamma 110.06
loop_
_atom_site_label
_atom_site_type_symbol
_atom_site_fract_x
_atom_site_fract_y
_atom_site_fract_z
K1 K 0.0000 0.5000 0.5000
K2 K 0.1681 0.8319 0.0000
K3 K 0.2839 0.2839 0.8144
K4 K 0.5000 0.0000 0.5000
K5 K 0.7161 0.7161 0.1856
K6 K 0.8319 0.1681 0.0000
Ge1 Ge 0.3816 0.3816 0.3436
Ge2 Ge 0.6184 0.6184 0.6564
S1 S 0.1316 0.1316 0.3571
S2 S 0.2572 0.5496 0.2002
S3 S 0.4504 0.7428 0.7998
S4 S 0.5496 0.2572 0.2002
S5 S 0.7428 0.4504 0.7998
S6 S 0.8684 0.8684 0.6429
```

---

Simulated powder diffractogram
Compound: KTbGeS4
Radiation: Cu Kα (weighted mean of Kα1 and Kα2)
Structure: a structure optimized by DFT (GGA-PBE)
Intensities are scaled so that the largest is 100.

Top 8 peaks for 10° ≤ 2θ ≤ 90°, in order of rising 2θ:
2θ/deg, d_spacing, Rel. int.
10.5, 8.386, 100
16.9, 5.250, 29
25.0, 3.559, 16
26.5, 3.366, 24
28.5, 3.127, 17
31.9, 2.805, 31
33.0, 2.715, 27
39.3, 2.293, 23

Atomic structure:
```
data_KTbGeS4
_chemical_formula_sum 'K2 Tb2 Ge2 S8'
_symmetry_space_group_name_H-M 'P 1'
_symmetry_Int_Tables_number 1
_symmetry_space_group_name_Hall 'P 1'
_cell_length_a 6.5590
_cell_length_b 6.7327
_cell_length_c 8.7829
_cell_angle_alpha 90.00
_cell_angle_beta 107.29
_cell_angle_gamma 90.00
loop_
_atom_site_label
_atom_site_type_symbol
_atom_site_fract_x
_atom_site_fract_y
_atom_site_fract_z
K1 K 0.2306 0.0000 0.4340
K2 K 0.7694 0.5000 0.5660
Tb1 Tb 0.2721 0.9818 0.9497
Tb2 Tb 0.7279 0.4818 0.0503
Ge1 Ge 0.2744 0.5171 0.1724
Ge2 Ge 0.7256 0.0171 0.8276
S1 S 0.0654 0.5891 0.9280
S2 S 0.0699 0.5190 0.3308
S3 S 0.4749 0.2532 0.7821
S4 S 0.4798 0.2464 0.1984
S5 S 0.5202 0.7464 0.8016
S6 S 0.5251 0.7532 0.2179
S7 S 0.9301 0.0190 0.6692
S8 S 0.9346 0.0891 0.0720
```